1.
Calculated powder XRD pattern
Compound: Te6MoW3S2
Radiation: a wavelength of 1.5418 Å
Structure: the PBE geometry in the Materials Project
Lines closer than 0.1° are merged.

Cell and atoms:
abc: 3.451 3.451 39.368
angles: 90.00 90.00 120.00
Atoms (fractional coordinates):
Te  0.000  0.000  0.000
Te  0.000  0.000  0.094
Te  0.000  0.000  0.375
Te  0.000  0.000  0.470
Te  0.333  0.667  0.811
Te  0.333  0.667  0.905
Mo  0.000  0.000  0.858
W  0.000  0.000  0.235
W  0.333  0.667  0.047
W  0.333  0.667  0.422
S  0.333  0.667  0.197
S  0.333  0.667  0.272

Top 10 peaks for 2θ = 5–70°, sorted by position:
| h k l | two_theta | I/Imax |
| --- | --- | --- |
| 0 0 3 | 6.7 | 50 |
| 0 0 5 | 11.2 | 100 |
| 0 0 6 | 13.5 | 20 |
| 1 0 0 | 29.9 | 49 |
| 1 0 5 | 32.0 | 14 |
| 0 1 8 | 35.1 | 94 |
| 1 0 13 | 42.5 | 53 |
| 0 1 14 | 44.2 | 17 |
| 1 1 0 | 53.1 | 33 |
| 2 0 8 | 65.2 | 15 |


2.
Calculated powder XRD pattern
Compound: Te4Mo3WS4
Radiation: a wavelength of 1.5418 Å
Structure: the PBE geometry in the Materials Project
Lines closer than 0.1° are merged.

Cell and atoms:
abc: 3.362 3.362 38.234
angles: 90.00 90.00 120.00
Atoms (fractional coordinates):
Te  0.000  0.000  0.000
Te  0.000  0.000  0.099
Te  0.333  0.667  0.437
Te  0.333  0.667  0.536
Mo  0.000  0.000  0.486
Mo  0.000  0.000  0.862
Mo  0.333  0.667  0.674
W  0.333  0.667  0.050
S  0.000  0.000  0.634
S  0.000  0.000  0.714
S  0.333  0.667  0.822
S  0.333  0.667  0.901

Top 10 peaks for 2θ = 5–70°, sorted by position:
| h k l | two_theta | I/Imax |
| --- | --- | --- |
| 0 0 3 | 6.9 | 85 |
| 0 0 5 | 11.6 | 94 |
| 0 0 6 | 13.9 | 17 |
| 1 0 0 | 30.7 | 48 |
| 0 1 2 | 31.1 | 16 |
| 0 1 6 | 33.9 | 18 |
| 0 1 8 | 36.1 | 100 |
| 0 1 10 | 38.9 | 34 |
| 1 0 13 | 43.8 | 46 |
| 1 1 0 | 54.6 | 29 |


3.
Calculated powder XRD pattern
Compound: Te2MoW2S4
Radiation: a wavelength of 1.5418 Å
Structure: the PBE geometry in the Materials Project
Lines closer than 0.1° are merged.

Cell and atoms:
abc: 3.296 3.296 30.587
angles: 90.00 90.00 120.00
Atoms (fractional coordinates):
Te  0.000  0.000  0.063
Te  0.000  0.000  0.937
Mo  0.333  0.667  0.000
W  0.000  0.000  0.231
W  0.000  0.000  0.769
S  0.333  0.667  0.181
S  0.333  0.667  0.282
S  0.333  0.667  0.718
S  0.333  0.667  0.819

Top 10 peaks for 2θ = 5–70°, sorted by position:
| h k l | two_theta | I/Imax |
| --- | --- | --- |
| 0 0 2 | 5.8 | 73 |
| 0 0 4 | 11.6 | 100 |
| 0 0 6 | 17.4 | 19 |
| 1 0 0 | 31.3 | 39 |
| 1 0 4 | 33.5 | 18 |
| 1 0 6 | 36.1 | 53 |
| 1 0 7 | 37.6 | 58 |
| 1 0 10 | 43.4 | 19 |
| 1 0 11 | 45.5 | 32 |
| 1 1 0 | 55.8 | 26 |